Calculated powder X-ray diffraction pattern of TlCdSb for λ = 1.5418 Å (Cu Kα), from a cell relaxed with GGA-PBE.

The 10 most intense peaks (2θ = 10–90°), in order of falling intensity:
two_theta	d [Å]	Rel. int.
29.49	3.029	100.0
33.22	2.697	29.0
36.03	2.493	21.7
49.82	1.830	18.5
36.35	2.472	16.7
57.04	1.615	16.7
60.80	1.523	12.9
29.62	3.016	12.2
47.61	1.910	11.4
61.45	1.509	9.3

Crystal structure
Unit cell a=8.5216 b=4.9853 c=8.5376 alpha=90.00 beta=90.00 gamma=90.00
Fractional positions:
Tl 0.0051 0.2500 0.1778
Tl 0.4949 0.7500 0.6778
Tl 0.5051 0.2500 0.3222
Tl 0.9949 0.7500 0.8222
Cd 0.1578 0.2500 0.5885
Cd 0.3422 0.7500 0.0885
Cd 0.6578 0.2500 0.9115
Cd 0.8422 0.7500 0.4115
Sb 0.2012 0.7500 0.4042
Sb 0.2988 0.2500 0.9042
Sb 0.7012 0.7500 0.0958
Sb 0.7988 0.2500 0.5958

Calculated powder X-ray diffraction pattern of Tl2Cd3Sb3 for λ = 1.5418 Å (Cu Kα), from a cell relaxed with GGA-PBE.

The 10 most intense peaks (2θ = 10–90°), in order of falling intensity:
two_theta	d [Å]	Rel. int.
31.19	2.868	100.0
28.64	3.117	75.1
27.38	3.257	63.5
36.05	2.491	61.5
38.40	2.344	36.8
29.44	3.034	35.5
48.07	1.893	27.3
30.70	2.913	26.2
48.37	1.882	17.2
31.95	2.801	15.6

Crystal structure
Unit cell a=9.1439 b=9.1439 c=12.1286 alpha=111.12 beta=111.12 gamma=31.62
Fractional positions:
Tl 0.1778 0.1778 0.3892
Tl 0.3117 0.3117 0.1122
Tl 0.6883 0.6883 0.8878
Tl 0.8222 0.8222 0.6108
Cd 0.0536 0.0536 0.7726
Cd 0.3670 0.3670 0.8400
Cd 0.3935 0.3935 0.4282
Cd 0.6065 0.6065 0.5718
Cd 0.6330 0.6330 0.1600
Cd 0.9464 0.9464 0.2274
Sb 0.0869 0.0869 0.0279
Sb 0.1923 0.1923 0.6860
Sb 0.4669 0.4669 0.6847
Sb 0.5331 0.5331 0.3153
Sb 0.8077 0.8077 0.3140
Sb 0.9131 0.9131 0.9721

Calculated powder X-ray diffraction pattern of ScCd for λ = 1.5418 Å (Cu Kα), from a cell relaxed with GGA-PBE.

The 9 most intense peaks (2θ = 10–90°), in order of falling intensity:
two_theta	d [Å]	Rel. int.
35.80	2.508	100.0
64.33	1.448	32.8
25.11	3.547	23.8
51.53	1.773	16.7
86.83	1.122	14.2
75.87	1.254	10.0
58.16	1.586	9.5
44.23	2.048	7.2
81.39	1.182	4.6

Crystal structure
Unit cell a=3.5470 b=3.5470 c=3.5470 alpha=90.00 beta=90.00 gamma=90.00
Fractional positions:
Sc 0.0000 0.0000 0.0000
Cd 0.5000 0.5000 0.5000

Calculated powder X-ray diffraction pattern of ScCd3 for λ = 1.5418 Å (Cu Kα), from a cell relaxed with GGA-PBE.

The 10 most intense peaks (2θ = 10–90°), in order of falling intensity:
two_theta	d [Å]	Rel. int.
37.26	2.413	100.0
32.31	2.771	24.7
36.59	2.456	23.4
70.22	1.340	19.0
57.62	1.600	17.7
66.32	1.410	17.0
49.60	1.838	14.2
70.64	1.333	14.0
24.21	3.676	9.9
27.88	3.200	4.6

Crystal structure
Unit cell a=6.3992 b=6.3992 c=4.9114 alpha=90.00 beta=90.00 gamma=120.00
Fractional positions:
Sc 0.3333 0.6667 0.2500
Sc 0.6667 0.3333 0.7500
Cd 0.1670 0.3339 0.7500
Cd 0.1670 0.8330 0.7500
Cd 0.3339 0.1670 0.2500
Cd 0.6661 0.8330 0.7500
Cd 0.8330 0.1670 0.2500
Cd 0.8330 0.6661 0.2500

Calculated powder X-ray diffraction pattern of Sc6CdTe2 for λ = 1.5418 Å (Cu Kα), from a cell relaxed with GGA-PBE.

The 10 most intense peaks (2θ = 10–90°), in order of falling intensity:
two_theta	d [Å]	Rel. int.
32.61	2.746	100.0
34.76	2.581	58.9
38.63	2.330	57.2
46.18	1.966	53.3
36.15	2.485	46.1
34.06	2.632	40.7
41.28	2.187	39.2
23.84	3.732	38.5
35.68	2.516	38.1
26.05	3.420	35.2

Crystal structure
Unit cell a=20.4921 b=3.9316 c=10.8939 alpha=90.00 beta=90.00 gamma=90.00
Fractional positions:
Sc 0.0063 0.2500 0.1077
Sc 0.0305 0.7500 0.3709
Sc 0.1090 0.2500 0.8247
Sc 0.1372 0.7500 0.0591
Sc 0.1639 0.2500 0.5232
Sc 0.2309 0.7500 0.7401
Sc 0.2691 0.2500 0.2401
Sc 0.3361 0.7500 0.0232
Sc 0.3628 0.2500 0.5591
Sc 0.3910 0.7500 0.3247
Sc 0.4695 0.2500 0.8709
Sc 0.4937 0.7500 0.6077
Sc 0.5063 0.2500 0.3923
Sc 0.5305 0.7500 0.1291
Sc 0.6090 0.2500 0.6753
Sc 0.6372 0.7500 0.4409
Sc 0.6639 0.2500 0.9768
Sc 0.7309 0.7500 0.7599
Sc 0.7691 0.2500 0.2599
Sc 0.8361 0.7500 0.4768
Sc 0.8628 0.2500 0.9409
Sc 0.8910 0.7500 0.1753
Sc 0.9695 0.2500 0.6291
Sc 0.9937 0.7500 0.8923
Cd 0.0773 0.7500 0.6341
Cd 0.4227 0.2500 0.1341
Cd 0.5773 0.7500 0.8659
Cd 0.9227 0.2500 0.3659
Te 0.1253 0.2500 0.2647
Te 0.2351 0.2500 0.9550
Te 0.2649 0.7500 0.4550
Te 0.3747 0.7500 0.7647
Te 0.6253 0.2500 0.2353
Te 0.7351 0.2500 0.5450
Te 0.7649 0.7500 0.0450
Te 0.8747 0.7500 0.7353

Calculated powder X-ray diffraction pattern of Sc2TlCd for λ = 1.5418 Å (Cu Kα), from a cell relaxed with GGA-PBE.

The 10 most intense peaks (2θ = 10–90°), in order of falling intensity:
two_theta	d [Å]	Rel. int.
35.54	2.526	100.0
24.93	3.572	37.6
63.83	1.458	34.9
51.14	1.786	17.3
57.71	1.598	16.1
86.07	1.130	15.4
43.90	2.062	11.7
75.24	1.263	10.7
21.54	4.125	9.8
80.70	1.191	8.0

Crystal structure
Unit cell a=5.0519 b=5.0519 c=5.0519 alpha=60.00 beta=60.00 gamma=60.00
Fractional positions:
Sc 0.2500 0.2500 0.2500
Sc 0.7500 0.7500 0.7500
Tl 0.0000 0.0000 0.0000
Cd 0.5000 0.5000 0.5000

Calculated powder X-ray diffraction pattern of ScTlCd for λ = 1.5418 Å (Cu Kα), from a cell relaxed with GGA-PBE.

The 10 most intense peaks (2θ = 10–90°), in order of falling intensity:
two_theta	d [Å]	Rel. int.
36.96	2.432	100.0
25.90	3.440	70.5
66.59	1.404	34.7
60.15	1.538	27.9
45.68	1.986	20.9
53.26	1.720	17.2
22.38	3.972	16.7
84.50	1.147	13.8
78.68	1.216	10.8
43.64	2.074	9.1

Crystal structure
Unit cell a=4.8645 b=4.8645 c=4.8645 alpha=60.00 beta=60.00 gamma=60.00
Fractional positions:
Sc 0.0000 0.0000 0.0000
Tl 0.7500 0.7500 0.7500
Cd 0.2500 0.2500 0.2500

Calculated powder X-ray diffraction pattern of Cd3Se for λ = 1.5418 Å (Cu Kα), from a cell relaxed with GGA-PBE.

The 10 most intense peaks (2θ = 10–90°), in order of falling intensity:
two_theta	d [Å]	Rel. int.
34.39	2.608	100.0
29.35	3.044	38.2
54.10	1.695	26.2
55.35	1.660	24.4
44.39	2.041	24.1
75.25	1.263	19.1
72.48	1.304	10.6
78.38	1.220	8.6
64.58	1.443	7.5
86.83	1.122	6.7

Crystal structure
Unit cell a=6.7367 b=6.7367 c=6.7367 alpha=144.73 beta=144.73 gamma=50.74
Fractional positions:
Cd 0.0000 0.0000 0.0000
Cd 0.2500 0.7500 0.5000
Cd 0.7500 0.2500 0.5000
Se 0.5000 0.5000 0.0000

Calculated powder X-ray diffraction pattern of Cd3Se4 for λ = 1.5418 Å (Cu Kα), from a cell relaxed with GGA-PBE.

The 10 most intense peaks (2θ = 10–90°), in order of falling intensity:
two_theta	d [Å]	Rel. int.
23.28	3.822	100.0
42.09	2.147	75.0
40.26	2.240	64.1
20.84	4.262	61.5
31.44	2.845	54.6
24.25	3.670	41.7
36.11	2.488	29.0
47.42	1.917	24.8
32.19	2.781	24.6
45.79	1.982	18.5

Crystal structure
Unit cell a=12.0136 b=12.0136 c=8.9531 alpha=100.68 beta=100.68 gamma=41.55
Fractional positions:
Cd 0.0342 0.6441 0.1779
Cd 0.0933 0.5478 0.6859
Cd 0.1826 0.8174 0.0000
Cd 0.2554 0.7319 0.5228
Cd 0.3590 0.9767 0.3516
Cd 0.4626 0.8559 0.8500
Cd 0.5478 0.0933 0.6859
Cd 0.6441 0.0342 0.1779
Cd 0.7319 0.2554 0.5228
Cd 0.8174 0.1826 0.0000
Cd 0.8559 0.4626 0.8500
Cd 0.9767 0.3590 0.3516
Se 0.0583 0.4848 0.9217
Se 0.2604 0.9523 0.5825
Se 0.2726 0.2726 0.4306
Se 0.2850 0.5919 0.7471
Se 0.2940 0.5963 0.2399
Se 0.3960 0.8201 0.0892
Se 0.4848 0.0583 0.9217
Se 0.5919 0.2850 0.7471
Se 0.5963 0.2940 0.2399
Se 0.6057 0.6057 0.6063
Se 0.6240 0.9272 0.4098
Se 0.8201 0.3960 0.0892
Se 0.9272 0.6240 0.4098
Se 0.9415 0.9415 0.7527
Se 0.9437 0.9437 0.2306
Se 0.9523 0.2604 0.5825

Calculated powder X-ray diffraction pattern of Cd3Se4 for λ = 1.5418 Å (Cu Kα), from a cell relaxed with GGA-PBE.

The 10 most intense peaks (2θ = 10–90°), in order of falling intensity:
two_theta	d [Å]	Rel. int.
18.62	4.765	100.0
12.21	7.251	55.3
30.10	2.969	49.3
22.97	3.872	38.9
18.02	4.922	35.0
19.33	4.591	34.2
38.78	2.322	31.1
31.62	2.830	28.7
38.24	2.354	28.3
15.24	5.813	27.6

Crystal structure
Unit cell a=12.6682 b=12.6682 c=10.7226 alpha=114.98 beta=114.98 gamma=45.72
Fractional positions:
Cd 0.1306 0.5533 0.5507
Cd 0.1805 0.8195 0.0000
Cd 0.2830 0.6656 0.4886
Cd 0.3467 0.9331 0.9493
Cd 0.3530 0.9727 0.5067
Cd 0.5533 0.1306 0.5507
Cd 0.6158 0.9850 0.9236
Cd 0.6656 0.2830 0.4886
Cd 0.8195 0.1805 0.0000
Cd 0.9331 0.3467 0.9493
Cd 0.9727 0.3530 0.5067
Cd 0.9850 0.6158 0.9236
Se 0.0167 0.7466 0.4128
Se 0.0463 0.0463 0.8773
Se 0.0498 0.8026 0.1152
Se 0.0922 0.0922 0.3475
Se 0.1056 0.4593 0.6956
Se 0.1327 0.3824 0.0683
Se 0.3811 0.3811 0.4383
Se 0.3824 0.1327 0.0683
Se 0.4033 0.6775 0.8844
Se 0.4593 0.1056 0.6956
Se 0.4695 0.7189 0.5811
Se 0.6775 0.4033 0.8844
Se 0.7189 0.4695 0.5811
Se 0.7196 0.7196 0.9104
Se 0.7466 0.0167 0.4128
Se 0.8026 0.0498 0.1152

Calculated powder X-ray diffraction pattern of CdSe2 for λ = 1.5418 Å (Cu Kα), from a cell relaxed with GGA-PBE.

The 10 most intense peaks (2θ = 10–90°), in order of falling intensity:
two_theta	d [Å]	Rel. int.
26.42	3.373	100.0
44.54	2.034	85.3
29.61	3.017	49.7
32.51	2.754	49.5
37.71	2.385	49.3
72.84	1.298	43.2
50.62	1.803	36.3
48.66	1.871	29.6
80.54	1.193	16.7
46.63	1.948	15.2

Crystal structure
Unit cell a=6.7469 b=6.7469 c=6.7469 alpha=90.00 beta=90.00 gamma=90.00
Fractional positions:
Cd 0.0000 0.0000 0.0000
Cd 0.0000 0.5000 0.5000
Cd 0.5000 0.0000 0.5000
Cd 0.5000 0.5000 0.0000
Se 0.1025 0.6025 0.8975
Se 0.1025 0.8975 0.3975
Se 0.3975 0.1025 0.8975
Se 0.3975 0.3975 0.3975
Se 0.6025 0.6025 0.6025
Se 0.6025 0.8975 0.1025
Se 0.8975 0.1025 0.6025
Se 0.8975 0.3975 0.1025

Calculated powder X-ray diffraction pattern of ZnCdTeSe for λ = 1.5418 Å (Cu Kα), from a cell relaxed with GGA-PBE.

The 10 most intense peaks (2θ = 10–90°), in order of falling intensity:
two_theta	d [Å]	Rel. int.
23.53	3.781	100.0
44.53	2.035	92.3
41.36	2.183	88.9
26.60	3.352	83.6
34.29	2.615	51.5
24.58	3.621	46.1
48.68	1.870	28.1
62.42	1.488	25.5
77.69	1.229	22.8
69.50	1.353	15.4

Crystal structure
Unit cell a=4.3685 b=4.3685 c=7.2421 alpha=90.09 beta=90.09 gamma=59.87
Fractional positions:
Zn 0.0000 0.0000 0.0000
Cd 0.3337 0.3337 0.4624
Te 0.9995 0.9995 0.6312
Se 0.3333 0.3333 0.0951

Calculated powder X-ray diffraction pattern of ZnCdTeSe for λ = 1.5418 Å (Cu Kα), from a cell relaxed with GGA-PBE.

The 10 most intense peaks (2θ = 10–90°), in order of falling intensity:
two_theta	d [Å]	Rel. int.
24.92	3.573	100.0
41.31	2.185	49.0
41.01	2.201	45.4
24.69	3.606	26.2
48.72	1.869	24.1
48.46	1.879	17.0
48.85	1.864	15.6
59.62	1.551	14.6
75.12	1.265	14.5
65.85	1.418	12.4

Crystal structure
Unit cell a=7.6413 b=7.6413 c=7.6413 alpha=33.24 beta=33.24 gamma=33.24
Fractional positions:
Zn 0.0000 0.0000 0.0000
Cd 0.4881 0.4881 0.4881
Te 0.8765 0.8765 0.8765
Se 0.3647 0.3647 0.3647